This entry pairs a crystal structure of Pm3InSb with its computed powder diffractogram. Radiation: Cu Kα (weighted mean of Kα1 and Kα2). Structure: a cell relaxed with GGA-PBE.
No peak broadening, texture or thermal motion is included.

Structural model:
Lattice parameters (Å, degrees): 4.6877 11.4527 11.4527 149.59 90.00 90.00
Positions (direct):
Pm (0.2500, 0.0471, 0.9529)
Pm (0.2500, 0.4307, 0.5763)
Pm (0.2500, 0.4366, 0.9723)
Pm (0.7500, 0.5763, 0.4307)
Pm (0.7500, 0.9529, 0.0471)
Pm (0.7500, 0.9723, 0.4366)
In (0.2500, 0.8901, 0.1757)
In (0.7500, 0.1757, 0.8901)
Sb (0.2500, 0.8344, 0.5003)
Sb (0.7500, 0.5003, 0.8344)

The 10 most intense peaks (10° ≤ 2θ ≤ 80°), sorted by position:
2θ/deg  I (rel.)
26.99  27
29.74  11
30.85  42
31.55  100
36.44  13
38.41  26
47.73  11
50.04  15
51.12  11
65.20  12



This entry pairs a crystal structure of La6GeTe5 with its computed powder diffractogram. Radiation: Cu Kα (weighted mean of Kα1 and Kα2). Structure: a cell relaxed with GGA-PBE.
No peak broadening, texture or thermal motion is included.

Structural model:
Lattice parameters (Å, degrees): 7.9007 7.9007 7.9143 99.56 99.56 119.91
Positions (direct):
La (0.0783, 0.3943, 0.7368)
La (0.2342, 0.2342, 0.2591)
La (0.3943, 0.0783, 0.7368)
La (0.6057, 0.9217, 0.2632)
La (0.7658, 0.7658, 0.7409)
La (0.9217, 0.6057, 0.2632)
Ge (0.0000, 0.0000, 0.5000)
Te (0.1728, 0.8272, 0.0000)
Te (0.3345, 0.6655, 0.5000)
Te (0.5000, 0.5000, 0.0000)
Te (0.6655, 0.3345, 0.5000)
Te (0.8272, 0.1728, 0.0000)

The 10 most intense peaks (10° ≤ 2θ ≤ 80°), sorted by position:
2θ/deg  I (rel.)
27.63  100
39.46  63
39.53  12
48.80  13
48.91  13
57.05  12
64.44  6
64.56  27
71.51  12
71.66  12



This entry pairs a crystal structure of PmAg2RuO6 with its computed powder diffractogram. Radiation: Cu Kα (weighted mean of Kα1 and Kα2). Structure: a cell relaxed with GGA-PBE.
No peak broadening, texture or thermal motion is included.

Structural model:
Lattice parameters (Å, degrees): 5.6990 5.7041 9.9510 90.00 124.11 90.00
Positions (direct):
Pm (0.0000, 0.0000, 0.0000)
Pm (0.0000, 0.5000, 0.5000)
Ag (0.2438, 0.0214, 0.7488)
Ag (0.2438, 0.4786, 0.2488)
Ag (0.7562, 0.5214, 0.7512)
Ag (0.7562, 0.9786, 0.2512)
Ru (0.5000, 0.0000, 0.5000)
Ru (0.5000, 0.5000, 0.0000)
O (0.1883, 0.0541, 0.2759)
O (0.1883, 0.4459, 0.7759)
O (0.2459, 0.6522, 0.0412)
O (0.2459, 0.8478, 0.5412)
O (0.4076, 0.2065, 0.0531)
O (0.4076, 0.2935, 0.5531)
O (0.5924, 0.7065, 0.4469)
O (0.5924, 0.7935, 0.9469)
O (0.7541, 0.1522, 0.4588)
O (0.7541, 0.3478, 0.9588)
O (0.8117, 0.5541, 0.2241)
O (0.8117, 0.9459, 0.7241)

The 10 most intense peaks (10° ≤ 2θ ≤ 80°), sorted by position:
2θ/deg  I (rel.)
30.88  97
31.20  95
31.38  100
43.96  26
44.97  43
54.99  22
55.38  30
55.53  19
55.73  20
55.97  23



This entry pairs a crystal structure of TbBiPd5 with its computed powder diffractogram. Radiation: Cu Kα (weighted mean of Kα1 and Kα2). Structure: a cell relaxed with GGA-PBE.
No peak broadening, texture or thermal motion is included.

Structural model:
Lattice parameters (Å, degrees): 5.4457 7.1856 7.4840 90.00 90.00 90.00
Positions (direct):
Tb (0.0000, 0.0000, 0.0000)
Tb (0.5000, 0.5000, 0.5000)
Bi (0.0000, 0.5000, 0.1763)
Bi (0.5000, 0.0000, 0.6763)
Pd (0.0000, 0.0000, 0.6454)
Pd (0.0000, 0.3162, 0.4958)
Pd (0.0000, 0.6838, 0.4958)
Pd (0.2434, 0.5000, 0.8138)
Pd (0.2566, 0.0000, 0.3138)
Pd (0.5000, 0.1838, 0.9958)
Pd (0.5000, 0.5000, 0.1454)
Pd (0.5000, 0.8162, 0.9958)
Pd (0.7434, 0.0000, 0.3138)
Pd (0.7566, 0.5000, 0.8138)

The 10 most intense peaks (10° ≤ 2θ ≤ 80°), sorted by position:
2θ/deg  I (rel.)
24.78  80
32.15  66
32.89  29
34.61  23
37.30  94
38.19  100
40.99  44
48.10  40
48.49  33
52.32  33



This entry pairs a crystal structure of Ce2Ga3Cu4Si with its computed powder diffractogram. Radiation: Cu Kα (weighted mean of Kα1 and Kα2). Structure: a cell relaxed with GGA-PBE.
No peak broadening, texture or thermal motion is included.

Structural model:
Lattice parameters (Å, degrees): 4.2068 4.2068 9.8640 90.00 90.00 90.00
Positions (direct):
Ce (0.0000, 0.5000, 0.2487)
Ce (0.5000, 0.0000, 0.7513)
Ga (0.0000, 0.0000, 0.0000)
Ga (0.0000, 0.5000, 0.6318)
Ga (0.5000, 0.0000, 0.3682)
Cu (0.0000, 0.0000, 0.5000)
Cu (0.0000, 0.5000, 0.8763)
Cu (0.5000, 0.0000, 0.1237)
Cu (0.5000, 0.5000, 0.5000)
Si (0.5000, 0.5000, 0.0000)

The 10 most intense peaks (10° ≤ 2θ ≤ 80°), sorted by position:
2θ/deg  I (rel.)
30.04  28
34.63  83
35.23  100
43.00  66
51.14  30
56.34  40
62.44  21
64.79  14
68.98  24
73.77  22



This entry pairs a crystal structure of Pm2NpPb with its computed powder diffractogram. Radiation: Cu Kα (weighted mean of Kα1 and Kα2). Structure: a cell relaxed with GGA-PBE.
No peak broadening, texture or thermal motion is included.

Structural model:
Lattice parameters (Å, degrees): 7.8124 7.8124 7.8124 90.00 90.00 90.00
Positions (direct):
Pm (0.2500, 0.2500, 0.2500)
Pm (0.2500, 0.2500, 0.7500)
Pm (0.2500, 0.7500, 0.2500)
Pm (0.2500, 0.7500, 0.7500)
Pm (0.7500, 0.2500, 0.2500)
Pm (0.7500, 0.2500, 0.7500)
Pm (0.7500, 0.7500, 0.2500)
Pm (0.7500, 0.7500, 0.7500)
Np (0.0000, 0.0000, 0.0000)
Np (0.0000, 0.5000, 0.5000)
Np (0.5000, 0.0000, 0.5000)
Np (0.5000, 0.5000, 0.0000)
Pb (0.0000, 0.0000, 0.5000)
Pb (0.0000, 0.5000, 0.0000)
Pb (0.5000, 0.0000, 0.0000)
Pb (0.5000, 0.5000, 0.5000)

The 9 most intense peaks (10° ≤ 2θ ≤ 80°), sorted by position:
2θ/deg  I (rel.)
22.76  4
32.41  100
39.98  1
46.50  19
52.37  2
57.82  39
67.86  12
72.61  1
77.23  17



This entry pairs a crystal structure of CeSm3Pb2 with its computed powder diffractogram. Radiation: Cu Kα (weighted mean of Kα1 and Kα2). Structure: a cell relaxed with GGA-PBE.
No peak broadening, texture or thermal motion is included.

Structural model:
Lattice parameters (Å, degrees): 4.6103 4.6103 8.8477 90.00 90.00 90.00
Positions (direct):
Ce (0.0000, 0.0000, 0.0000)
Sm (0.0000, 0.5000, 0.3491)
Sm (0.5000, 0.0000, 0.6509)
Sm (0.5000, 0.5000, 0.0000)
Pb (0.0000, 0.5000, 0.7176)
Pb (0.5000, 0.0000, 0.2824)

The 10 most intense peaks (10° ≤ 2θ ≤ 80°), sorted by position:
2θ/deg  I (rel.)
27.36  27
29.19  78
30.31  39
34.17  100
36.16  27
39.08  60
50.23  38
56.45  21
65.42  17
67.66  28



This entry pairs a crystal structure of KLi3Se4O12 with its computed powder diffractogram. Radiation: Cu Kα (weighted mean of Kα1 and Kα2). Structure: a cell relaxed with GGA-PBE.
No peak broadening, texture or thermal motion is included.

Structural model:
Lattice parameters (Å, degrees): 7.0651 7.0651 7.0651 105.41 105.41 105.41
Positions (direct):
K (0.0000, 0.0000, 0.0000)
Li (0.0000, 0.5542, 0.4458)
Li (0.4458, 0.0000, 0.5542)
Li (0.5542, 0.4458, 0.0000)
Se (0.0472, 0.5000, 0.9528)
Se (0.5000, 0.5000, 0.5000)
Se (0.5000, 0.9528, 0.0472)
Se (0.9528, 0.0472, 0.5000)
O (0.0228, 0.6241, 0.7728)
O (0.1068, 0.8932, 0.5000)
O (0.2272, 0.3759, 0.9772)
O (0.3472, 0.6528, 0.5000)
O (0.3759, 0.9772, 0.2272)
O (0.5000, 0.1068, 0.8932)
O (0.5000, 0.3472, 0.6528)
O (0.6241, 0.7728, 0.0228)
O (0.6528, 0.5000, 0.3472)
O (0.7728, 0.0228, 0.6241)
O (0.8932, 0.5000, 0.1068)
O (0.9772, 0.2272, 0.3759)

The 10 most intense peaks (10° ≤ 2θ ≤ 80°), sorted by position:
2θ/deg  I (rel.)
15.77  16
21.11  90
26.46  20
28.11  100
31.84  26
32.06  34
32.39  23
34.91  13
42.56  14
47.26  19



This entry pairs a crystal structure of Tl3N2Cl4 with its computed powder diffractogram. Radiation: Cu Kα (weighted mean of Kα1 and Kα2). Structure: a cell relaxed with GGA-PBE.
No peak broadening, texture or thermal motion is included.

Structural model:
Lattice parameters (Å, degrees): 8.4050 8.4050 9.3338 104.60 104.60 67.03
Positions (direct):
Tl (0.0455, 0.9545, 0.7500)
Tl (0.1917, 0.4946, 0.1822)
Tl (0.4946, 0.1917, 0.6822)
Tl (0.5054, 0.8083, 0.3178)
Tl (0.8083, 0.5054, 0.8178)
Tl (0.9545, 0.0455, 0.2500)
N (0.0294, 0.5425, 0.5458)
N (0.4575, 0.9706, 0.9542)
N (0.5425, 0.0294, 0.0458)
N (0.9706, 0.4575, 0.4542)
Cl (0.1746, 0.3200, 0.8295)
Cl (0.2351, 0.7565, 0.0514)
Cl (0.2435, 0.7649, 0.4486)
Cl (0.3200, 0.1746, 0.3295)
Cl (0.6800, 0.8254, 0.6705)
Cl (0.7565, 0.2351, 0.5514)
Cl (0.7649, 0.2435, 0.9486)
Cl (0.8254, 0.6800, 0.1705)

The 10 most intense peaks (10° ≤ 2θ ≤ 80°), sorted by position:
2θ/deg  I (rel.)
13.93  62
19.96  44
21.62  100
22.14  71
26.73  33
33.91  25
34.27  39
34.79  37
34.95  43
43.46  25



This entry pairs a crystal structure of KPrB12 with its computed powder diffractogram. Radiation: Cu Kα (weighted mean of Kα1 and Kα2). Structure: a cell relaxed with GGA-PBE.
No peak broadening, texture or thermal motion is included.

Structural model:
Lattice parameters (Å, degrees): 5.9172 5.9172 5.9172 60.00 60.00 60.00
Positions (direct):
K (0.0000, 0.0000, 0.0000)
Pr (0.5000, 0.5000, 0.5000)
B (0.1011, 0.1011, 0.3989)
B (0.1011, 0.3989, 0.1011)
B (0.1011, 0.3989, 0.3989)
B (0.3989, 0.1011, 0.1011)
B (0.3989, 0.1011, 0.3989)
B (0.3989, 0.3989, 0.1011)
B (0.6011, 0.6011, 0.8989)
B (0.6011, 0.8989, 0.6011)
B (0.6011, 0.8989, 0.8989)
B (0.8989, 0.6011, 0.6011)
B (0.8989, 0.6011, 0.8989)
B (0.8989, 0.8989, 0.6011)

The 10 most intense peaks (10° ≤ 2θ ≤ 80°), sorted by position:
2θ/deg  I (rel.)
18.36  57
21.24  42
30.21  100
35.58  34
37.22  43
43.25  22
48.66  46
53.66  20
67.11  28
71.27  20